# 1
Simulated powder XRD pattern
Compound: Er4SnIr
Radiation: Cu Kα (weighted mean of Kα1 and Kα2)
Structure: a crystal structure in Alexandria, relaxed with PBE
No peak broadening, texture or thermal motion is included.

Structural model:
abc: 7.465 6.941 6.867
angles: 90.00 91.39 90.00
Element x y z (fractional)
Er (0.140, 0.163, 0.173)
Er (0.140, 0.337, 0.673)
Er (0.308, 0.648, 0.135)
Er (0.308, 0.852, 0.635)
Er (0.692, 0.148, 0.365)
Er (0.692, 0.352, 0.865)
Er (0.860, 0.663, 0.327)
Er (0.860, 0.837, 0.827)
Sn (0.500, 0.000, 0.000)
Sn (0.500, 0.500, 0.500)
Ir (0.000, 0.000, 0.500)
Ir (0.000, 0.500, 0.000)

Main lines, most intense first (2θ from 10° to 90°):
| d (Å) | 2theta | I (rel.) |
| --- | --- | --- |
| 3.094 | 28.85 | 100 |
| 3.286 | 27.13 | 60 |
| 2.099 | 43.09 | 50 |
| 2.201 | 41.01 | 40 |
| 2.868 | 31.18 | 33 |
| 3.147 | 28.36 | 30 |
| 2.850 | 31.39 | 29 |
| 4.117 | 21.58 | 27 |
| 1.897 | 47.96 | 26 |
| 2.541 | 35.32 | 25 |

# 2
Simulated powder XRD pattern
Compound: Pu4Th2Sb3H2
Radiation: Cu Kα (weighted mean of Kα1 and Kα2)
Structure: a crystal structure in Alexandria, relaxed with PBE
No peak broadening, texture or thermal motion is included.

Structural model:
abc: 17.452 17.452 17.452
angles: 168.15 168.15 16.79
Element x y z (fractional)
Pu (0.075, 0.575, 0.500)
Pu (0.425, 0.925, 0.500)
Pu (0.575, 0.075, 0.500)
Pu (0.925, 0.425, 0.500)
Th (0.210, 0.210, 0.000)
Th (0.790, 0.790, 0.000)
Sb (0.351, 0.351, 0.000)
Sb (0.500, 0.500, 0.000)
Sb (0.649, 0.649, 0.000)
H (0.038, 0.038, 0.000)
H (0.962, 0.962, 0.000)

Main lines, most intense first (2θ from 10° to 90°):
| d (Å) | 2theta | I (rel.) |
| --- | --- | --- |
| 2.330 | 38.64 | 100 |
| 2.910 | 30.72 | 85 |
| 2.521 | 35.61 | 72 |
| 5.755 | 15.40 | 61 |
| 2.466 | 36.43 | 57 |
| 1.802 | 50.66 | 52 |
| 4.316 | 20.58 | 47 |
| 1.455 | 63.99 | 45 |
| 1.908 | 47.67 | 44 |
| 2.195 | 41.13 | 37 |